(1)
This entry pairs a crystal structure of Mg5Si9 with its computed powder XRD pattern. Radiation: Cu Kα (λ = 1.5418 Å). Structure: DFT lattice parameters and positions (GGA-PBE).
Intensities are scaled so that the largest is 100.

Peak list (10 most intense, 2θ = 15–90°, sorted by position)
two_theta  Rel. int.
31.00  78
34.90  83
35.06  76
35.26  85
35.89  100
36.32  64
36.72  55
38.92  74
39.74  54
39.98  65

Atomic structure:
```
data_Mg5Si9
_chemical_formula_sum 'Mg10 Si18'
_space_group_name_H-M_alt 'P 1'
_space_group_IT_number 1
_cell_length_a 6.053
_cell_length_b 6.861
_cell_length_c 13.568
_cell_angle_alpha 104.50
_cell_angle_beta 93.15
_cell_angle_gamma 106.83
loop_
_space_group_symop_operation_xyz
'x,y,z'
loop_
_atom_site_label
_atom_site_fract_x
_atom_site_fract_y
_atom_site_fract_z
Mg1 0.000 0.000 0.000
Mg2 0.009 0.456 0.931
Mg3 0.092 0.086 0.327
Mg4 0.139 0.644 0.365
Mg5 0.221 0.154 0.779
Mg6 0.361 0.794 0.647
Mg7 0.559 0.624 0.847
Mg8 0.771 0.264 0.167
Mg9 0.803 0.300 0.693
Mg10 0.837 0.716 0.641
Si1 0.042 0.068 0.571
Si2 0.048 0.403 0.524
Si3 0.103 0.735 0.815
Si4 0.195 0.438 0.126
Si5 0.240 0.815 0.165
Si6 0.401 0.102 0.496
Si7 0.413 0.362 0.984
Si8 0.419 0.403 0.644
Si9 0.433 0.391 0.262
Si10 0.441 0.002 0.926
Si11 0.446 0.464 0.453
Si12 0.547 0.874 0.063
Si13 0.568 0.923 0.317
Si14 0.630 0.858 0.485
Si15 0.735 0.042 0.816
Si16 0.748 0.300 0.375
Si17 0.773 0.681 0.252
Si18 0.775 0.639 0.069
```

(2)
This entry pairs a crystal structure of Sr28In11 with its computed powder XRD pattern. Radiation: Cu Kα (λ = 1.5418 Å). Structure: DFT lattice parameters and positions (GGA-PBE).
Intensities are scaled so that the largest is 100.

Peak list (10 most intense, 2θ = 15–90°, sorted by position)
two_theta  Rel. int.
18.02  21
26.29  50
26.61  34
27.21  23
29.23  18
30.16  100
30.53  55
34.83  24
35.62  20
54.02  19

Atomic structure:
```
data_Sr28In11
_chemical_formula_sum 'Sr56 In22'
_space_group_name_H-M_alt 'I m m 2'
_space_group_IT_number 44
_cell_length_a 5.857
_cell_length_b 67.225
_cell_length_c 8.309
_cell_angle_alpha 90.00
_cell_angle_beta 90.00
_cell_angle_gamma 90.00
loop_
_space_group_symop_operation_xyz
'x,y,z'
'-x,-y,z'
'-x,y,z'
'x,-y,z'
'x+1/2,y+1/2,z+1/2'
'-x+1/2,-y+1/2,z+1/2'
'-x+1/2,y+1/2,z+1/2'
'x+1/2,-y+1/2,z+1/2'
loop_
_atom_site_label
_atom_site_fract_x
_atom_site_fract_y
_atom_site_fract_z
Sr1 0.000 0.000 0.023
Sr2 0.000 0.030 0.420
Sr3 0.000 0.083 0.074
Sr4 0.000 0.096 0.549
Sr5 0.000 0.147 0.178
Sr6 0.000 0.182 0.561
Sr7 0.000 0.206 0.141
Sr8 0.000 0.262 0.462
Sr9 0.000 0.276 0.994
Sr10 0.000 0.324 0.378
Sr11 0.000 0.363 0.000
Sr12 0.000 0.383 0.437
Sr13 0.000 0.440 0.135
Sr14 0.000 0.456 0.587
Sr15 0.000 0.500 0.206
In1 0.000 0.043 0.817
In2 0.000 0.139 0.773
In3 0.000 0.227 0.757
In4 0.000 0.320 0.785
In5 0.000 0.409 0.800
In6 0.000 0.500 0.798
```